Computed powder XRD pattern
Compound: Li2SnSe3
Radiation: λ = 1.5418 Å (Cu Kα)
Structure: a PBE-relaxed structure
Kinematic intensities with the Lorentz-polarization factor, no thermal factor.

Cell: 7.336 7.336 7.180 Å, 98.53 98.53 120.73°
Atoms (fractional coordinates):
Li: 0.088 0.912 0.500
Li: 0.222 0.726 0.992
Li: 0.726 0.222 0.492
Li: 0.912 0.088 0.000
Sn: 0.375 0.551 0.471
Sn: 0.551 0.375 0.971
Se: 0.018 0.182 0.373
Se: 0.182 0.018 0.873
Se: 0.361 0.855 0.360
Se: 0.526 0.690 0.857
Se: 0.690 0.526 0.357
Se: 0.855 0.361 0.860

Most intense lines, 15° ≤ 2θ ≤ 90°, sorted by position:
- d = 4.667 Å, 2θ 19.01, I 22
- d = 3.461 Å, 2θ 25.74, I 27
- d = 3.430 Å, 2θ 25.98, I 100
- d = 2.135 Å, 2θ 42.33, I 15
- d = 2.126 Å, 2θ 42.53, I 15
- d = 2.101 Å, 2θ 43.06, I 29
- d = 2.085 Å, 2θ 43.40, I 28
- d = 1.818 Å, 2θ 50.17, I 13
- d = 1.810 Å, 2θ 50.43, I 15
- d = 1.806 Å, 2θ 50.54, I 12

Computed powder XRD pattern
Compound: Cs4Pb9
Radiation: λ = 1.5418 Å (Cu Kα)
Structure: a PBE-relaxed structure
Kinematic intensities with the Lorentz-polarization factor, no thermal factor.

Cell: 10.266 14.969 17.701 Å, 90.00 115.42 90.00°
Atoms (fractional coordinates):
Cs: 0.134 0.238 0.120
Cs: 0.134 0.262 0.620
Cs: 0.229 0.570 0.340
Cs: 0.229 0.930 0.840
Cs: 0.271 0.542 0.013
Cs: 0.271 0.958 0.513
Cs: 0.302 0.233 0.907
Cs: 0.302 0.267 0.407
Cs: 0.698 0.733 0.593
Cs: 0.698 0.767 0.093
Cs: 0.729 0.042 0.487
Cs: 0.729 0.458 0.987
Cs: 0.771 0.070 0.160
Cs: 0.771 0.430 0.660
Cs: 0.866 0.738 0.380
Cs: 0.866 0.762 0.880
Pb: 0.036 0.580 0.592
Pb: 0.036 0.920 0.092
Pb: 0.098 0.657 0.772
Pb: 0.098 0.843 0.272
Pb: 0.100 0.710 0.132
Pb: 0.100 0.790 0.632
Pb: 0.293 0.690 0.559
Pb: 0.293 0.810 0.059
Pb: 0.294 0.010 0.272
Pb: 0.294 0.490 0.772
Pb: 0.316 0.016 0.097
Pb: 0.316 0.484 0.597
Pb: 0.436 0.674 0.869
Pb: 0.436 0.826 0.369
Pb: 0.445 0.697 0.227
Pb: 0.445 0.803 0.727
Pb: 0.451 0.099 0.759
Pb: 0.451 0.401 0.259
Pb: 0.549 0.599 0.741
Pb: 0.549 0.901 0.241
Pb: 0.555 0.197 0.273
Pb: 0.555 0.303 0.773
Pb: 0.564 0.174 0.631
Pb: 0.564 0.326 0.131
Pb: 0.684 0.516 0.403
Pb: 0.684 0.984 0.903
Pb: 0.706 0.510 0.228
Pb: 0.706 0.990 0.728
Pb: 0.707 0.190 0.941
Pb: 0.707 0.310 0.441
Pb: 0.900 0.210 0.368
Pb: 0.900 0.290 0.868
Pb: 0.902 0.157 0.728
Pb: 0.902 0.343 0.228
Pb: 0.964 0.080 0.908
Pb: 0.964 0.420 0.408

Most intense lines, 15° ≤ 2θ ≤ 90°, sorted by position:
- d = 3.555 Å, 2θ 25.05, I 29
- d = 3.421 Å, 2θ 26.04, I 35
- d = 3.333 Å, 2θ 26.75, I 29
- d = 3.148 Å, 2θ 28.35, I 100
- d = 3.128 Å, 2θ 28.54, I 52
- d = 3.113 Å, 2θ 28.68, I 31
- d = 2.912 Å, 2θ 30.70, I 36
- d = 2.886 Å, 2θ 30.99, I 27
- d = 2.859 Å, 2θ 31.28, I 26
- d = 2.739 Å, 2θ 32.69, I 33

Computed powder XRD pattern
Compound: Na2Cd6SnAu
Radiation: λ = 1.5418 Å (Cu Kα)
Structure: a PBE-relaxed structure
Kinematic intensities with the Lorentz-polarization factor, no thermal factor.

Cell: 12.858 12.858 12.858 Å, 33.58 33.58 33.58°
Atoms (fractional coordinates):
Na: 0.095 0.095 0.095
Na: 0.276 0.276 0.276
Na: 0.724 0.724 0.724
Na: 0.905 0.905 0.905
Cd: 0.066 0.677 0.677
Cd: 0.224 0.224 0.625
Cd: 0.224 0.625 0.224
Cd: 0.323 0.323 0.934
Cd: 0.323 0.934 0.323
Cd: 0.375 0.776 0.776
Cd: 0.625 0.224 0.224
Cd: 0.677 0.066 0.677
Cd: 0.677 0.677 0.066
Cd: 0.776 0.375 0.776
Cd: 0.776 0.776 0.375
Cd: 0.934 0.323 0.323
Sn: 0.424 0.424 0.424
Sn: 0.576 0.576 0.576
Au: 0.000 0.000 0.000
Au: 0.500 0.500 0.500

Most intense lines, 15° ≤ 2θ ≤ 90°, sorted by position:
- d = 4.818 Å, 2θ 18.41, I 46
- d = 2.941 Å, 2θ 30.39, I 31
- d = 2.735 Å, 2θ 32.75, I 44
- d = 2.410 Å, 2θ 37.32, I 100
- d = 2.348 Å, 2θ 38.33, I 65
- d = 2.305 Å, 2θ 39.07, I 24
- d = 2.021 Å, 2θ 44.85, I 26
- d = 1.894 Å, 2θ 48.04, I 25
- d = 1.857 Å, 2θ 49.06, I 35
- d = 1.470 Å, 2θ 63.24, I 24

Computed powder XRD pattern
Compound: MgCrIn2N4
Radiation: λ = 1.5418 Å (Cu Kα)
Structure: a PBE-relaxed structure
Kinematic intensities with the Lorentz-polarization factor, no thermal factor.

Cell: 5.850 5.850 5.850 Å, 130.85 130.85 72.05°
Atoms (fractional coordinates):
Mg: 0.000 0.000 0.000
Cr: 0.500 0.500 0.000
In: 0.250 0.750 0.500
In: 0.750 0.250 0.500
N: 0.163 0.618 0.000
N: 0.382 0.382 0.545
N: 0.618 0.163 0.000
N: 0.837 0.837 0.455

Most intense lines, 15° ≤ 2θ ≤ 90°, sorted by position:
- d = 4.732 Å, 2θ 18.75, I 18
- d = 3.441 Å, 2θ 25.89, I 20
- d = 2.783 Å, 2θ 32.17, I 100
- d = 2.433 Å, 2θ 36.95, I 23
- d = 2.366 Å, 2θ 38.04, I 11
- d = 2.164 Å, 2θ 41.75, I 13
- d = 1.720 Å, 2θ 53.25, I 14
- d = 1.696 Å, 2θ 54.07, I 27
- d = 1.463 Å, 2θ 63.58, I 25
- d = 1.434 Å, 2θ 65.05, I 12